Calculated XRD peak list
Compound: La2Pm5ErTh
Radiation: CuKα
Structure: a structure optimized by DFT (GGA-PBE)
Lines closer than 0.1° are merged.

Atomic structure:
Cell: 10.688 10.688 10.686 Å, 90.00 90.00 148.92°
Fractional positions:
La1 0.115 0.885 0.500
La2 0.117 0.883 0.083
La3 0.883 0.117 0.583
La4 0.885 0.115 0.000
Pm1 0.016 0.984 0.787
Pm2 0.276 0.724 0.080
Pm3 0.294 0.706 0.471
Pm4 0.386 0.614 0.791
Pm5 0.482 0.518 0.511
Pm6 0.518 0.482 0.011
Pm7 0.614 0.386 0.291
Pm8 0.706 0.294 0.971
Pm9 0.724 0.276 0.580
Pm10 0.984 0.016 0.287
Er1 0.405 0.595 0.228
Er2 0.595 0.405 0.728
Th1 0.199 0.801 0.778
Th2 0.801 0.199 0.278

The 10 most intense peaks (2θ = 10–90°), in order of rising 2θ:
2theta  I (rel.)
27.29  17
29.86  38
31.23  39
31.56  100
33.55  14
41.95  11
50.29  11
55.79  20
57.93  11
60.40  13


Calculated XRD peak list
Compound: BaLiSO4
Radiation: CuKα
Structure: a structure optimized by DFT (GGA-PBE)
Lines closer than 0.1° are merged.

Atomic structure:
Cell: 5.491 5.491 5.491 Å, 60.00 60.00 60.00°
Fractional positions:
Ba1 0.000 0.000 0.000
Li1 0.750 0.750 0.750
S1 0.500 0.500 0.500
O1 0.168 0.611 0.611
O2 0.611 0.168 0.611
O3 0.611 0.611 0.168
O4 0.611 0.611 0.611

The 10 most intense peaks (2θ = 10–90°), in order of rising 2θ:
2theta  I (rel.)
19.80  28
22.91  100
32.62  79
38.45  48
40.23  29
52.72  29
58.21  28
62.11  17
68.34  14
73.13  16


Calculated XRD peak list
Compound: Ho8Tl2Ag
Radiation: CuKα
Structure: a structure optimized by DFT (GGA-PBE)
Lines closer than 0.1° are merged.

Atomic structure:
Cell: 9.623 9.623 6.771 Å, 100.37 100.37 31.02°
Fractional positions:
Ho1 0.017 0.017 0.264
Ho2 0.203 0.203 0.809
Ho3 0.346 0.346 0.520
Ho4 0.409 0.409 0.034
Ho5 0.591 0.591 0.966
Ho6 0.654 0.654 0.480
Ho7 0.797 0.797 0.191
Ho8 0.983 0.983 0.736
Tl1 0.188 0.188 0.254
Tl2 0.812 0.812 0.746
Ag1 0.500 0.500 0.500

The 10 most intense peaks (2θ = 10–90°), in order of rising 2θ:
2theta  I (rel.)
30.04  100
31.01  22
31.64  84
33.18  84
34.87  89
37.37  27
38.88  25
43.80  23
50.03  20
62.53  32


Calculated XRD peak list
Compound: Ag2PtC2
Radiation: CuKα
Structure: a structure optimized by DFT (GGA-PBE)
Lines closer than 0.1° are merged.

Atomic structure:
Cell: 5.336 5.336 4.474 Å, 90.00 90.00 90.00°
Fractional positions:
Ag1 0.185 0.315 0.000
Ag2 0.315 0.815 0.000
Ag3 0.685 0.185 0.000
Ag4 0.815 0.685 0.000
Pt1 0.000 0.000 0.500
Pt2 0.500 0.500 0.500
C1 0.093 0.407 0.500
C2 0.407 0.907 0.500
C3 0.593 0.093 0.500
C4 0.907 0.593 0.500

The 10 most intense peaks (2θ = 10–90°), in order of rising 2θ:
2theta  I (rel.)
23.58  29
31.00  67
37.69  23
39.32  100
40.32  35
42.95  24
48.24  20
54.37  24
64.62  16
69.81  23


Calculated XRD peak list
Compound: Pa5Te5N2
Radiation: CuKα
Structure: a structure optimized by DFT (GGA-PBE)
Lines closer than 0.1° are merged.

Atomic structure:
Cell: 7.291 7.291 10.965 Å, 99.42 99.42 30.84°
Fractional positions:
Pa1 0.000 0.000 0.000
Pa2 0.098 0.098 0.323
Pa3 0.365 0.365 0.205
Pa4 0.635 0.635 0.795
Pa5 0.902 0.902 0.677
Te1 0.219 0.219 0.609
Te2 0.329 0.329 0.902
Te3 0.500 0.500 0.500
Te4 0.671 0.671 0.098
Te5 0.781 0.781 0.391
N1 0.047 0.047 0.804
N2 0.953 0.953 0.196

The 10 most intense peaks (2θ = 10–90°), in order of rising 2θ:
2theta  I (rel.)
30.33  100
33.01  36
33.50  40
35.41  74
39.77  13
46.86  19
54.62  11
58.50  14
58.82  16
64.23  12


Calculated XRD peak list
Compound: Y4HoSe4
Radiation: CuKα
Structure: a structure optimized by DFT (GGA-PBE)
Lines closer than 0.1° are merged.

Atomic structure:
Cell: 6.971 6.971 6.971 Å, 99.74 99.74 131.42°
Fractional positions:
Y1 0.101 0.706 0.806
Y2 0.294 0.101 0.395
Y3 0.706 0.899 0.605
Y4 0.899 0.294 0.194
Ho1 0.500 0.500 0.000
Se1 0.199 0.404 0.603
Se2 0.404 0.801 0.205
Se3 0.596 0.199 0.795
Se4 0.801 0.596 0.397

The 10 most intense peaks (2θ = 10–90°), in order of rising 2θ:
2theta  I (rel.)
18.35  22
27.09  27
31.19  51
31.48  100
44.91  74
45.12  36
55.87  38
74.06  16
74.54  16
83.14  24